Computed powder diffractogram
Compound: Bi3MoO7
Radiation: Cu Kα X-rays
Structure: a structure optimized by DFT (GGA+U)
No peak broadening, texture or thermal motion is included.

The 10 most intense peaks (2θ = 5–70°), low angle first:
h k l  Position (°2θ)  d (Å)  intensity
2 2 0  27.82  3.206  97
0 2 2  28.46  3.136  100
2 0 2  32.50  2.755  49
0 4 0  32.84  2.727  25
2 4 2  46.87  1.938  55
0 0 4  47.44  1.916  18
4 2 2  54.80  1.675  21
2 6 0  55.61  1.653  13
2 2 4  55.93  1.644  45
0 4 4  58.89  1.568  14

Atomic structure:
a b c (Å): 7.927 10.910 7.665
angles (deg): 90.00 90.00 90.00
Space group C222_1 (No. 20)
Inequivalent atoms, fractional coordinates:
1 Bi 0.046 0.000 0.000 (multiplicity 4)
2 Bi 0.235 0.261 0.757 (multiplicity 8)
3 Mo 0.004 0.500 0.000 (multiplicity 4)
4 O 0.000 0.133 0.250 (multiplicity 4)
5 O 0.000 0.139 0.750 (multiplicity 4)
6 O 0.000 0.437 0.750 (multiplicity 4)
7 O 0.169 0.371 0.039 (multiplicity 8)
8 O 0.201 0.385 0.461 (multiplicity 8)